# CsLiZn2I6
Theoretical X-ray diffraction stick pattern, Cu Kα, 1.54184 Å. Input: a cell relaxed with PBE.
Peak positions follow from Bragg's law for the DFT cell and can differ from measured ones.

Largest 10 diffraction maxima, in order of falling intensity, 10 to 90 degrees two-theta:
- (4 2 -1), 26.31°, intensity 100
- (4 0 0), 24.66°, intensity 84
- (3 3 -1), 24.77°, intensity 81
- (1 1 -2), 22.78°, intensity 78
- (0 2 1), 15.82°, intensity 76
- (2 4 1), 29.15°, intensity 60
- (3 1 0), 19.23°, intensity 58
- (5 3 1), 40.09°, intensity 54
- (1 3 1), 21.90°, intensity 42
- (1 5 0), 27.91°, intensity 41

Cell and atoms:
a = 15.1300 Å, b = 16.3931 Å, c = 8.0437 Å
α = 90.00°, β = 107.48°, γ = 90.00°
Space group C2/c (No. 15)
One atom of each set of equivalent atoms:
Cs: 0.0000 0.1179 0.2500
Li: 0.0000 0.2301 0.7500
Zn: 0.1931 0.4277 0.1807
I: 0.1148 0.2876 0.0600
I: 0.1251 0.0901 0.7325
I: 0.1393 0.4451 0.4720

***

# PmPaFe10
Theoretical X-ray diffraction stick pattern, Cu Kα, 1.54184 Å. Input: a cell relaxed with PBE.
Peak positions follow from Bragg's law for the DFT cell and can differ from measured ones.

Largest 10 diffraction maxima, in order of falling intensity, 10 to 90 degrees two-theta:
- (1 2 0), 42.63°, intensity 100
- (1 1 1), 30.39°, intensity 66
- (0 0 4), 41.73°, intensity 38
- (0 2 0), 35.93°, intensity 37
- (2 0 0), 45.24°, intensity 24
- (2 0 4), 63.23°, intensity 21
- (2 2 0), 59.08°, intensity 17
- (1 3 3), 69.15°, intensity 15
- (3 2 0), 81.72°, intensity 14
- (1 2 4), 61.15°, intensity 13

Cell and atoms:
a = 4.0085 Å, b = 5.0042 Å, c = 8.6499 Å
α = 90.00°, β = 90.00°, γ = 90.00°
Space group Pmmm (No. 47)
One atom of each set of equivalent atoms:
Pm: 0.0000 0.0000 0.0000
Pa: 0.0000 0.5000 0.5000
Fe: 0.0000 0.0000 0.3393
Fe: 0.0000 0.5000 0.1737
Fe: 0.5000 0.0000 0.5000
Fe: 0.5000 0.2516 0.2534
Fe: 0.5000 0.5000 0.0000